CaPr4Pt2: simulated XRD peak list (Cu Kα), based on DFT lattice parameters and positions (PBE).
Peak positions follow from Bragg's law for the DFT cell and can differ from measured ones.

Atomic structure:
a = 6.8856 Å, b = 7.1227 Å, c = 9.5449 Å
α = 107.67°, β = 106.58°, γ = 91.53°
Positions (direct):
Ca1 0.0000 0.0000 0.0000
Ca2 0.2054 0.7525 0.4859
Pr1 0.2316 0.5631 0.1062
Pr2 0.3654 0.1697 0.8268
Pr3 0.3723 0.2067 0.3865
Pr4 0.4945 0.6472 0.8164
Pr5 0.7514 0.7879 0.2292
Pr6 0.7618 0.9972 0.6404
Pr7 0.7717 0.3065 0.2390
Pr8 0.9208 0.5013 0.6883
Pt1 0.0228 0.1376 0.4886
Pt2 0.4287 0.9705 0.0756
Pt3 0.5828 0.5996 0.4260
Pt4 0.7915 0.3962 0.9428

The 6 most intense peaks (2θ from 10° to 80°), in order of rising 2θ:
20.4 deg, rel. 60, hkl 1 -1 1; 27.2 deg, rel. 56, hkl 1 -1 2; 32.0 deg, rel. 86, hkl 2 -1 1; 33.7 deg, rel. 100, hkl 0 2 -3; 34.5 deg, rel. 71, hkl 2 0 -3; 37.0 deg, rel. 93, hkl 2 2 -2